Record 1
The following is a computed powder diffractogram of SmMg9Pd3. It was derived from DFT lattice parameters and positions (PBE), using λ = 1.5418 Å (Cu Kα).
Lines closer than 0.1° are merged.

Crystal structure
```
SmMg9Pd3
1.0
2.8120 -7.0315 0.0000
2.8120 7.0315 0.0000
-2.5568 0.0000 6.7133
Sm Mg Pd
1 9 3
direct
0.0000 0.0000 0.0000
0.0000 0.0000 0.5000
0.0194 0.6650 0.6734
0.2960 0.5201 0.7865
0.3350 0.9806 0.3266
0.4799 0.7040 0.2135
0.5201 0.2960 0.7865
0.6650 0.0194 0.6734
0.7040 0.4799 0.2135
0.9806 0.3350 0.3266
0.0000 0.5000 0.0000
0.5000 0.0000 0.0000
0.5000 0.5000 0.5000
```

Principal peaks in the range 10° ≤ 2θ ≤ 80°, by intensity:
- 36.49 deg, intensity 100.0
- 37.03 deg, intensity 93.9
- 37.41 deg, intensity 66.7
- 13.19 deg, intensity 62.7
- 25.77 deg, intensity 59.0
- 18.46 deg, intensity 53.7
- 25.33 deg, intensity 46.3
- 18.27 deg, intensity 42.6

Record 2
The following is a computed powder diffractogram of YEr6Mg2. It was derived from DFT lattice parameters and positions (PBE), using λ = 1.5418 Å (Cu Kα).
Lines closer than 0.1° are merged.

Crystal structure
```
YEr6Mg2
1.0
3.2897 1.8993 7.2199
-3.2897 1.8993 7.2199
0.0000 -3.7986 7.2199
Y Er Mg
1 6 2
direct
0.0000 0.0000 0.0000
0.0549 0.5183 0.5973
0.2144 0.7628 0.6591
0.5183 0.5973 0.0549
0.5973 0.0549 0.5183
0.6591 0.2144 0.7628
0.7628 0.6591 0.2144
0.1395 0.1395 0.1395
0.2730 0.2730 0.2730
```

Principal peaks in the range 10° ≤ 2θ ≤ 80°, by intensity:
- 31.68 deg, intensity 100.0
- 24.66 deg, intensity 64.9
- 29.85 deg, intensity 43.4
- 37.79 deg, intensity 39.1
- 36.97 deg, intensity 31.5
- 32.50 deg, intensity 31.2
- 43.16 deg, intensity 28.3
- 32.94 deg, intensity 21.3